# MgV4Cu3O14
Theoretical PXRD pattern, Cu Ka. Input: a crystal structure in the Materials Project, relaxed with PBE+U.
Lines closer than 0.1° are merged.

Cell and atoms:
```
MgV4Cu3O14
1.0
5.6344 0.0000 0.0000
-0.2192 5.6849 0.0000
-2.3828 -2.5795 9.6453
Mg V Cu O
1 4 3 14
direct
0.0000 0.0000 0.0000 Mg
0.0402 0.7350 0.2661 V
0.1387 0.7349 0.6896 V
0.5817 0.2868 0.1896 V
0.5872 0.1910 0.7637 V
0.2041 0.5030 0.9631 Cu
0.3571 0.3610 0.4652 Cu
0.8254 0.1149 0.4910 Cu
0.0497 0.0231 0.3734 O
0.0672 0.7222 0.8479 O
0.1142 0.7485 0.1099 O
0.1275 0.4483 0.5797 O
0.2362 0.5676 0.3481 O
0.2882 0.2656 0.0781 O
0.4185 0.3876 0.8467 O
0.4452 0.8839 0.7295 O
0.5773 0.2213 0.3494 O
0.5994 0.2524 0.6023 O
0.7303 0.5882 0.2259 O
0.7461 0.0871 0.1086 O
0.8729 0.2109 0.8702 O
0.9415 0.9028 0.6081 O
```

Peak list (10 most intense, 2θ from 10° to 80°, low angle first)
hkl  d [Å]  intensity
0 1 0  5.492  18
0 1 1  4.314  11
1 -1 1  3.761  12
1 1 0  3.689  100
0 1 2  3.234  16
0 1 -3  3.152  28
1 -1 2  3.127  59
-1 1 2  3.106  33
1 2 0  2.360  11
2 0 2  2.156  19